No. 1
The following is a calculated powder X-ray diffraction pattern of CaW2O6. It was derived from DFT lattice parameters and positions (GGA+U), using CuKα.
Intensities are scaled so that the largest is 100.

Structural model:
Cell: 5.519 5.583 7.817 Å, 89.79 89.98 89.99°
Space group P1 (No. 1)
Inequivalent atoms, fractional coordinates:
Ca  0.000  0.000  0.000
Ca  0.500  0.416  0.499
W  0.492  0.953  0.749
W  0.493  0.957  0.248
W  0.991  0.467  0.248
W  0.993  0.463  0.748
O  0.066  0.475  0.493
O  0.195  0.757  0.207
O  0.202  0.760  0.789
O  0.283  0.235  0.222
O  0.287  0.230  0.778
O  0.438  0.977  0.505
O  0.571  0.944  0.994
O  0.682  0.673  0.708
O  0.689  0.673  0.289
O  0.772  0.171  0.724
O  0.775  0.180  0.279
O  0.941  0.443  0.005

Main lines, low angle first (10° ≤ 2θ ≤ 90°):
(hkl)  d (Å)  two_theta  Rel. int.
1 1 0  3.919  22.69  100
0 2 0  2.791  32.06  16
1 1 -2  2.769  32.33  61
2 0 0  2.759  32.45  15
2 2 0  1.962  46.26  18
3 1 -2  1.595  57.82  17

---

No. 2
The following is a calculated powder X-ray diffraction pattern of CaW2O5. It was derived from DFT lattice parameters and positions (GGA+U), using CuKα.
Intensities are scaled so that the largest is 100.

Structural model:
Cell: 3.631 13.196 5.162 Å, 90.00 90.00 90.00°
Space group Pmmn (No. 59, origin choice 2)
Inequivalent atoms, fractional coordinates:
Ca  0.250  0.250  0.045
W  0.250  0.604  0.473
O  0.250  0.063  0.389
O  0.250  0.641  0.118
O  0.250  0.750  0.631

Main lines, low angle first (10° ≤ 2θ ≤ 90°):
(hkl)  d (Å)  two_theta  Rel. int.
0 0 1  5.162  17.18  100
1 1 1  2.897  30.86  53
1 3 0  2.800  31.96  49
0 4 1  2.780  32.20  41
1 3 1  2.461  36.51  34
1 3 2  1.898  47.93  33

---

No. 3
The following is a calculated powder X-ray diffraction pattern of CaW4O8. It was derived from DFT lattice parameters and positions (GGA+U), using CuKα.
Intensities are scaled so that the largest is 100.

Structural model:
Cell: 3.345 7.285 7.330 Å, 88.29 78.96 78.27°
Space group P1 (No. 1)
Inequivalent atoms, fractional coordinates:
Ca  0.000  0.000  0.000
W  0.132  0.541  0.167
W  0.342  0.838  0.521
W  0.648  0.190  0.462
W  0.862  0.487  0.813
O  0.034  0.302  0.602
O  0.281  0.050  0.309
O  0.357  0.623  0.705
O  0.358  0.335  0.937
O  0.628  0.702  0.028
O  0.651  0.396  0.264
O  0.703  0.966  0.675
O  0.958  0.727  0.389

Main lines, low angle first (10° ≤ 2θ ≤ 90°):
(hkl)  d (Å)  two_theta  Rel. int.
0 1 -1  5.089  17.43  40
0 1 1  5.041  17.59  42
0 1 2  3.203  27.85  100
1 -1 0  2.732  32.79  62
1 0 2  2.661  33.68  33
1 2 1  2.635  34.02  43